(1)
Diffraction record for LiMg. The powder diffractogram is simulated, not measured: it uses a cell relaxed with PBE and copper Kα.
Peak positions follow from Bragg's law for the DFT cell and can differ from measured ones.

Structural model:
Cell lengths 3.3782, 3.3782, 3.5526 Å; angles 90.00, 90.00, 90.00 degrees
Space group P4/mmm (No. 123)
Unique sites:
Li: 0.0000 0.0000 0.0000 x1
Mg: 0.5000 0.5000 0.5000 x1

The 10 most intense peaks (15° ≤ 2θ ≤ 90°), low angle first:
| 2θ (°) | intensity | index |
| --- | --- | --- |
| 25.07 | 31 | 0 0 1 |
| 26.38 | 55 | 1 0 0 |
| 36.71 | 100 | 1 0 1 |
| 37.66 | 47 | 1 1 0 |
| 45.77 | 23 | 1 1 1 |
| 54.31 | 16 | 2 0 0 |
| 58.73 | 11 | 1 0 2 |
| 65.48 | 17 | 1 1 2 |
| 67.35 | 31 | 2 1 1 |
| 78.07 | 10 | 2 0 2 |



(2)
Diffraction record for Li3Mg5. The powder diffractogram is simulated, not measured: it uses a cell relaxed with PBE and copper Kα.
Peak positions follow from Bragg's law for the DFT cell and can differ from measured ones.

Structural model:
Cell lengths 6.2520, 6.2520, 8.7428 Å; angles 90.00, 90.00, 90.00 degrees
Space group I4/mmm (No. 139)
Unique sites:
Li: 0.0000 0.0000 0.0000 x2
Li: 0.0000 0.5000 0.0000 x4
Mg: 0.0000 0.0000 0.5000 x2
Mg: 0.2500 0.2500 0.2500 x8

The 10 most intense peaks (15° ≤ 2θ ≤ 90°), low angle first:
| 2θ (°) | intensity | index |
| --- | --- | --- |
| 17.44 | 13 | 1 0 1 |
| 20.31 | 20 | 0 0 2 |
| 28.55 | 16 | 2 0 0 |
| 35.30 | 100 | 2 0 2 |
| 40.82 | 33 | 2 2 0 |
| 41.31 | 16 | 0 0 4 |
| 59.11 | 11 | 4 0 0 |
| 59.47 | 21 | 2 2 4 |
| 70.76 | 24 | 4 2 2 |
| 71.43 | 12 | 2 0 6 |



(3)
Diffraction record for LiMg. The powder diffractogram is simulated, not measured: it uses a cell relaxed with PBE and copper Kα.
Peak positions follow from Bragg's law for the DFT cell and can differ from measured ones.

Structural model:
Cell lengths 3.0915, 3.0915, 5.1035 Å; angles 90.00, 90.00, 120.00 degrees
Space group P-6m2 (No. 187)
Unique sites:
Li: 0.0000 0.0000 0.0000 x1
Mg: 0.6667 0.3333 0.5000 x1

The 10 most intense peaks (15° ≤ 2θ ≤ 90°), low angle first:
| 2θ (°) | intensity | index |
| --- | --- | --- |
| 17.38 | 65 | 0 0 1 |
| 33.47 | 48 | 1 0 0 |
| 35.17 | 24 | 0 0 2 |
| 37.95 | 100 | 1 0 1 |
| 49.34 | 31 | 1 0 2 |
| 59.83 | 15 | 1 1 0 |
| 62.81 | 11 | 1 1 1 |
| 64.95 | 19 | 1 0 3 |
| 71.34 | 17 | 1 1 2 |
| 73.08 | 13 | 2 0 1 |